Simulated X-ray diffraction stick pattern
Compound: KRe3
Radiation: Cu Kα X-rays
Structure: a structure optimized by DFT (GGA-PBE)
Lines closer than 0.1° are merged.

Principal peaks in the range 2θ from 10° to 90°, in order of rising 2θ:
2theta	I/Imax	h k l
34.0	21	0 0 4
37.1	30	1 0 0
41.0	100	1 0 2
42.9	16	0 0 5
45.5	42	1 0 3
51.2	10	1 0 4
58.0	16	1 0 5
66.9	19	1 1 0
74.2	16	1 0 7
77.2	12	1 1 4
81.5	14	2 0 2
82.8	15	1 1 5

Cell: 2.799 2.799 10.536 Å, 90.00 90.00 120.00°
Sites, in units of the cell vectors:
K1 0.000 0.000 0.000
Re1 0.000 0.000 0.500
Re2 0.667 0.333 0.292
Re3 0.667 0.333 0.708